1.
For Sm2TeI, a DFT-relaxed cell (PBE, Alexandria) gives the theoretical X-ray diffraction stick pattern in this record (a wavelength of 1.5418 Å).
Peak positions follow from Bragg's law for the DFT cell and can differ from measured ones.

Main lines, by intensity (2θ from 15° to 90°):
two_theta, intensity
30.62, 100
35.22, 54
44.11, 48
26.01, 33
62.85, 31
54.65, 19
42.42, 17
72.75, 16
43.59, 15
28.73, 13

Structural model:
Cell lengths 8.8479, 8.8479, 8.8479 Å; angles 26.83, 26.83, 26.83 degrees
Positions (direct):
Sm1 0.0000 0.0000 0.0000
Sm2 0.1766 0.1766 0.1766
Te1 0.5887 0.5887 0.5887
I1 0.7550 0.7550 0.7550


2.
For Sm5Te4I, a DFT-relaxed cell (PBE, Alexandria) gives the theoretical X-ray diffraction stick pattern in this record (a wavelength of 1.5418 Å).
Peak positions follow from Bragg's law for the DFT cell and can differ from measured ones.

Main lines, by intensity (2θ from 15° to 90°):
two_theta, intensity
28.60, 100
40.30, 67
27.80, 46
40.89, 38
50.16, 36
74.06, 22
67.04, 17
66.63, 15
59.20, 13
65.39, 9

Structural model:
Cell lengths 16.3484, 16.3484, 16.3484 Å; angles 164.48, 164.48, 22.01 degrees
Positions (direct):
Sm1 0.0000 0.0000 0.0000
Sm2 0.1914 0.1914 0.0000
Sm3 0.3917 0.3917 0.0000
Sm4 0.6083 0.6083 0.0000
Sm5 0.8086 0.8086 0.0000
Te1 0.0958 0.0958 0.0000
Te2 0.2940 0.2940 0.0000
Te3 0.7060 0.7060 0.0000
Te4 0.9042 0.9042 0.0000
I1 0.5000 0.5000 0.0000


3.
For SmVI, a DFT-relaxed cell (PBE, Alexandria) gives the theoretical X-ray diffraction stick pattern in this record (a wavelength of 1.5418 Å).
Peak positions follow from Bragg's law for the DFT cell and can differ from measured ones.

Main lines, by intensity (2θ from 15° to 90°):
two_theta, intensity
31.49, 100
31.05, 80
27.09, 80
33.74, 67
40.23, 60
16.72, 37
37.50, 35
54.06, 33
62.96, 31
43.10, 29

Structural model:
Cell lengths 10.7840, 10.7840, 4.1979 Å; angles 90.00, 90.00, 159.03 degrees
Positions (direct):
Sm1 0.0881 0.9119 0.7500
Sm2 0.9119 0.0881 0.2500
V1 0.4788 0.5212 0.7500
V2 0.5212 0.4788 0.2500
I1 0.3337 0.6663 0.7500
I2 0.6663 0.3337 0.2500


4.
For SnI4, a DFT-relaxed cell (PBE, Alexandria) gives the theoretical X-ray diffraction stick pattern in this record (a wavelength of 1.5418 Å).
Peak positions follow from Bragg's law for the DFT cell and can differ from measured ones.

Main lines, by intensity (2θ from 15° to 90°):
two_theta, intensity
23.40, 100
38.67, 53
45.69, 37
16.49, 33
27.08, 28
15.04, 15
46.78, 12
61.36, 11
69.99, 11
34.73, 9

Structural model:
Cell lengths 13.1709, 13.1709, 13.1709 Å; angles 90.00, 90.00, 90.00 degrees
Positions (direct):
Sn1 0.1345 0.1345 0.1345
Sn2 0.1345 0.3655 0.6345
Sn3 0.3655 0.6345 0.1345
Sn4 0.3655 0.8655 0.6345
Sn5 0.6345 0.1345 0.3655
Sn6 0.6345 0.3655 0.8655
Sn7 0.8655 0.6345 0.3655
Sn8 0.8655 0.8655 0.8655
I1 0.0030 0.2467 0.5296
I2 0.0030 0.2533 0.0296
I3 0.0296 0.0030 0.2533
I4 0.0296 0.4970 0.7533
I5 0.2467 0.5296 0.0030
I6 0.2470 0.7470 0.7530
I7 0.2470 0.7530 0.2530
I8 0.2467 0.9704 0.5030
I9 0.2533 0.0296 0.0030
I10 0.2530 0.2470 0.7530
I11 0.2530 0.2530 0.2530
I12 0.2533 0.4704 0.5030
I13 0.4704 0.5030 0.2533
I14 0.4704 0.9970 0.7533
I15 0.4970 0.7467 0.5296
I16 0.4970 0.7533 0.0296
I17 0.5030 0.2467 0.9704
I18 0.5030 0.2533 0.4704
I19 0.5296 0.0030 0.2467
I20 0.5296 0.4970 0.7467
I21 0.7467 0.5296 0.4970
I22 0.7470 0.7470 0.7470
I23 0.7470 0.7530 0.2470
I24 0.7467 0.9704 0.9970
I25 0.7533 0.0296 0.4970
I26 0.7530 0.2470 0.7470
I27 0.7530 0.2530 0.2470
I28 0.7533 0.4704 0.9970
I29 0.9704 0.5030 0.2467
I30 0.9704 0.9970 0.7467
I31 0.9970 0.7467 0.9704
I32 0.9970 0.7533 0.4704


5.
For SnI4, a DFT-relaxed cell (PBE, Alexandria) gives the theoretical X-ray diffraction stick pattern in this record (a wavelength of 1.5418 Å).
Peak positions follow from Bragg's law for the DFT cell and can differ from measured ones.

Main lines, by intensity (2θ from 15° to 90°):
two_theta, intensity
22.29, 100
36.79, 58
43.44, 42
25.79, 29
18.16, 18
50.75, 16
21.33, 15
66.27, 15
58.20, 14
46.96, 13

Structural model:
Cell lengths 9.7714, 9.7714, 9.7714 Å; angles 60.00, 60.00, 60.00 degrees
Positions (direct):
Sn1 0.1250 0.1250 0.1250
Sn2 0.8750 0.8750 0.8750
I1 0.2139 0.7620 0.7620
I2 0.2380 0.2380 0.2380
I3 0.2380 0.2380 0.7861
I4 0.2380 0.7861 0.2380
I5 0.7620 0.2139 0.7620
I6 0.7620 0.7620 0.2139
I7 0.7620 0.7620 0.7620
I8 0.7861 0.2380 0.2380


6.
For SnI4, a DFT-relaxed cell (PBE, Alexandria) gives the theoretical X-ray diffraction stick pattern in this record (a wavelength of 1.5418 Å).
Peak positions follow from Bragg's law for the DFT cell and can differ from measured ones.

Main lines, by intensity (2θ from 15° to 90°):
two_theta, intensity
22.34, 100
36.89, 55
43.55, 42
25.86, 27
47.57, 17
18.20, 17
31.81, 16
58.36, 15
66.46, 15
49.49, 11

Structural model:
Cell lengths 6.8918, 6.8918, 6.8918 Å; angles 90.00, 90.00, 90.00 degrees
Positions (direct):
Sn1 0.0000 0.0000 0.0000
I1 0.2264 0.2264 0.2264
I2 0.2264 0.7736 0.7736
I3 0.7736 0.2264 0.7736
I4 0.7736 0.7736 0.2264


7.
For SrSn2I6, a DFT-relaxed cell (PBE, Alexandria) gives the theoretical X-ray diffraction stick pattern in this record (a wavelength of 1.5418 Å).
Peak positions follow from Bragg's law for the DFT cell and can differ from measured ones.

Main lines, by intensity (2θ from 15° to 90°):
two_theta, intensity
24.87, 100
32.12, 69
38.53, 40
41.74, 24
23.12, 17
51.01, 16
62.60, 15
46.41, 15
65.71, 12
61.85, 10

Structural model:
Cell lengths 8.9932, 8.9932, 8.9932 Å; angles 53.48, 53.48, 53.48 degrees
Positions (direct):
Sr1 0.0000 0.0000 0.0000
Sn1 0.1787 0.1787 0.1787
Sn2 0.3574 0.3574 0.3574
I1 0.0922 0.4077 0.7846
I2 0.2927 0.9518 0.5642
I3 0.4077 0.7846 0.0922
I4 0.5642 0.2927 0.9518
I5 0.7846 0.0922 0.4077
I6 0.9518 0.5642 0.2927


8.
For Sr3SnI3, a DFT-relaxed cell (PBE, Alexandria) gives the theoretical X-ray diffraction stick pattern in this record (a wavelength of 1.5418 Å).
Peak positions follow from Bragg's law for the DFT cell and can differ from measured ones.

Main lines, by intensity (2θ from 15° to 90°):
two_theta, intensity
26.40, 100
37.68, 78
61.40, 37
46.59, 28
68.01, 27
86.47, 18
22.81, 18
54.34, 13
44.50, 9
80.45, 9

Structural model:
Cell lengths 11.6962, 11.6962, 11.6962 Å; angles 109.47, 109.47, 109.47 degrees
Positions (direct):
Sr1 0.0031 0.0061 0.2531
Sr2 0.0031 0.4969 0.7500
Sr3 0.0061 0.2531 0.0031
Sr4 0.2469 0.2531 0.7500
Sr5 0.2469 0.4939 0.4969
Sr6 0.2531 0.0031 0.0061
Sr7 0.2531 0.7500 0.2469
Sr8 0.4939 0.4969 0.2469
Sr9 0.4969 0.2469 0.4939
Sr10 0.4969 0.7500 0.0031
Sr11 0.7500 0.0031 0.4969
Sr12 0.7500 0.2469 0.2531
Sn1 0.0000 0.2500 0.5000
Sn2 0.2500 0.2500 0.2500
Sn3 0.2500 0.5000 0.0000
Sn4 0.5000 0.0000 0.2500
I1 0.2500 0.7522 0.7478
I2 0.2500 0.9978 0.5022
I3 0.5022 0.2500 0.9978
I4 0.5022 0.7522 0.5045
I5 0.5045 0.5022 0.7522
I6 0.7478 0.2500 0.7522
I7 0.7478 0.9978 0.9955
I8 0.7522 0.5045 0.5022
I9 0.7522 0.7478 0.2500
I10 0.9955 0.7478 0.9978
I11 0.9978 0.5022 0.2500
I12 0.9978 0.9955 0.7478


9.
For Sr4SnI5, a DFT-relaxed cell (PBE, Alexandria) gives the theoretical X-ray diffraction stick pattern in this record (a wavelength of 1.5418 Å).
Peak positions follow from Bragg's law for the DFT cell and can differ from measured ones.

Main lines, by intensity (2θ from 15° to 90°):
two_theta, intensity
26.38, 100
37.43, 26
37.86, 25
35.87, 14
48.02, 13
54.31, 12
61.05, 12
23.48, 12
39.39, 12
44.69, 8

Structural model:
Cell lengths 10.7329, 10.7329, 10.0146 Å; angles 104.40, 104.40, 24.61 degrees
Positions (direct):
Sr1 0.0032 0.0032 0.2479
Sr2 0.3367 0.3367 0.8997
Sr3 0.6633 0.6633 0.1003
Sr4 0.9968 0.9968 0.7521
Sn1 0.5000 0.5000 0.0000
I1 0.1687 0.1687 0.3371
I2 0.1697 0.1697 0.8555
I3 0.5000 0.5000 0.5000
I4 0.8303 0.8303 0.1445
I5 0.8313 0.8313 0.6629


10.
For Sn4Te2I5, a DFT-relaxed cell (PBE, Alexandria) gives the theoretical X-ray diffraction stick pattern in this record (a wavelength of 1.5418 Å).
Peak positions follow from Bragg's law for the DFT cell and can differ from measured ones.

Main lines, by intensity (2θ from 15° to 90°):
two_theta, intensity
25.30, 100
26.25, 86
29.73, 59
29.73, 58
42.08, 50
37.97, 46
49.15, 34
40.62, 34
36.32, 33
32.55, 32

Structural model:
Cell lengths 4.4249, 10.4439, 12.3958 Å; angles 86.27, 90.00, 77.81 degrees
Positions (direct):
Sn1 0.0226 0.4604 0.2062
Sn2 0.3368 0.8238 0.6011
Sn3 0.6632 0.1762 0.3989
Sn4 0.9774 0.5396 0.7938
Te1 0.4861 0.5232 0.6298
Te2 0.5139 0.4768 0.3702
I1 0.1649 0.1722 0.5780
I2 0.1677 0.1677 0.1997
I3 0.5000 0.5000 0.0000
I4 0.8323 0.8323 0.8003
I5 0.8351 0.8278 0.4220


11.
For TiSn2I2, a DFT-relaxed cell (PBE, Alexandria) gives the theoretical X-ray diffraction stick pattern in this record (a wavelength of 1.5418 Å).
Peak positions follow from Bragg's law for the DFT cell and can differ from measured ones.

Main lines, by intensity (2θ from 15° to 90°):
two_theta, intensity
32.84, 100
21.73, 63
43.80, 40
22.77, 40
34.17, 40
28.99, 29
62.54, 29
45.87, 29
35.26, 26
51.30, 26

Structural model:
Cell lengths 12.5845, 12.5845, 12.5845 Å; angles 161.91, 161.91, 25.69 degrees
Positions (direct):
Ti1 0.0000 0.0000 0.0000
Sn1 0.2500 0.7500 0.5000
Sn2 0.7500 0.2500 0.5000
I1 0.4285 0.4285 0.0000
I2 0.5715 0.5715 0.0000


12.
For Tl3SnI6, a DFT-relaxed cell (PBE, Alexandria) gives the theoretical X-ray diffraction stick pattern in this record (a wavelength of 1.5418 Å).
Peak positions follow from Bragg's law for the DFT cell and can differ from measured ones.

Main lines, by intensity (2θ from 15° to 90°):
two_theta, intensity
28.54, 100
27.38, 79
29.25, 76
20.65, 75
38.32, 69
35.04, 47
15.06, 33
22.44, 30
40.63, 26
34.24, 25

Structural model:
Cell lengths 9.7878, 9.7878, 9.7878 Å; angles 87.61, 87.61, 87.61 degrees
Positions (direct):
Tl1 0.1006 0.2137 0.5616
Tl2 0.2137 0.5616 0.1006
Tl3 0.4384 0.8994 0.7863
Tl4 0.5616 0.1006 0.2137
Tl5 0.7863 0.4384 0.8994
Tl6 0.8994 0.7863 0.4384
Sn1 0.0000 0.0000 0.0000
Sn2 0.5000 0.5000 0.5000
I1 0.0932 0.8765 0.7288
I2 0.1235 0.2712 0.9068
I3 0.1923 0.5436 0.4588
I4 0.2712 0.9068 0.1235
I5 0.4564 0.5412 0.8077
I6 0.4588 0.1923 0.5436
I7 0.5412 0.8077 0.4564
I8 0.5436 0.4588 0.1923
I9 0.7288 0.0932 0.8765
I10 0.8077 0.4564 0.5412
I11 0.8765 0.7288 0.0932
I12 0.9068 0.1235 0.2712